Structure and theoretical X-ray powder pattern of PmSmH4 (a cell relaxed with GGA-PBE; λ = 1.5418 Å (Cu Kα)).
Intensities are scaled so that the largest is 100.

Atomic structure:
```
PmSmH4
1.0
-2.691 2.691 5.410
2.691 -2.691 5.410
2.691 2.691 -5.410
Pm Sm H
2 2 8
Direct
0.375 0.625 0.750 Pm
0.625 0.375 0.250 Pm
0.125 0.875 0.250 Sm
0.875 0.125 0.750 Sm
0.000 0.248 0.248 H
0.000 0.752 0.752 H
0.248 0.000 0.748 H
0.248 0.500 0.248 H
0.500 0.248 0.748 H
0.500 0.752 0.252 H
0.752 0.000 0.252 H
0.752 0.500 0.752 H
```

Top 12 peaks for 2θ = 10–90°, sorted by position:
d [Å]	I/Imax
3.112	100
2.705	16
2.691	32
1.908	26
1.903	13
1.630	15
1.623	30
1.556	13
1.238	12
1.235	6
1.208	6
1.099	9


Structure and theoretical X-ray powder pattern of Pm4Sm2Sn3H2 (a cell relaxed with GGA-PBE; λ = 1.5418 Å (Cu Kα)).
Intensities are scaled so that the largest is 100.

Atomic structure:
```
Pm4Sm2Sn3H2
1.0
-2.386 2.386 12.816
2.386 -2.386 12.816
2.386 2.386 -12.816
Pm Sm Sn H
4 2 3 2
Direct
0.083 0.583 0.500 Pm
0.417 0.917 0.500 Pm
0.583 0.083 0.500 Pm
0.917 0.417 0.500 Pm
0.199 0.199 0.000 Sm
0.801 0.801 0.000 Sm
0.325 0.325 0.000 Sn
0.500 0.500 0.000 Sn
0.675 0.675 0.000 Sn
0.104 0.104 0.000 H
0.896 0.896 0.000 H
```

Top 12 peaks for 2θ = 10–90°, sorted by position:
d [Å]	I/Imax
3.264	50
3.204	15
2.986	23
2.905	19
2.648	100
2.563	11
2.386	55
1.914	14
1.747	14
1.687	19
1.423	31
1.232	10


Structure and theoretical X-ray powder pattern of Pm2Sm4Tl3H2 (a cell relaxed with GGA-PBE; λ = 1.5418 Å (Cu Kα)).
Intensities are scaled so that the largest is 100.

Atomic structure:
```
Pm2Sm4Tl3H2
1.0
-2.424 2.424 12.566
2.424 -2.424 12.566
2.424 2.424 -12.566
Pm Sm Tl H
2 4 3 2
Direct
0.199 0.199 0.000 Pm
0.801 0.801 0.000 Pm
0.084 0.584 0.500 Sm
0.416 0.916 0.500 Sm
0.584 0.084 0.500 Sm
0.916 0.416 0.500 Sm
0.327 0.327 0.000 Tl
0.500 0.500 0.000 Tl
0.673 0.673 0.000 Tl
0.103 0.103 0.000 H
0.897 0.897 0.000 H
```

Top 12 peaks for 2θ = 10–90°, sorted by position:
d [Å]	I/Imax
4.761	21
3.308	34
3.142	9
3.010	17
2.885	20
2.653	100
2.424	55
1.856	11
1.745	11
1.714	20
1.585	11
1.440	31


Structure and theoretical X-ray powder pattern of Pm5Sn5H2 (a cell relaxed with GGA-PBE; λ = 1.5418 Å (Cu Kα)).
Intensities are scaled so that the largest is 100.

Atomic structure:
```
Pm5Sn5H2
1.0
5.386 -2.223 0.000
5.386 2.223 0.000
-3.763 0.000 12.395
Pm Sn H
5 5 2
Direct
0.000 0.000 0.000 Pm
0.152 0.152 0.392 Pm
0.448 0.448 0.202 Pm
0.552 0.552 0.798 Pm
0.848 0.848 0.608 Pm
0.173 0.173 0.667 Sn
0.278 0.278 0.922 Sn
0.500 0.500 0.500 Sn
0.722 0.722 0.078 Sn
0.827 0.827 0.333 Sn
0.035 0.035 0.197 H
0.965 0.965 0.803 H
```

Top 12 peaks for 2θ = 10–90°, sorted by position:
d [Å]	I/Imax
3.242	20
3.085	55
2.845	29
2.793	100
2.750	47
2.731	20
2.718	23
2.617	54
2.344	26
2.223	41
1.751	16
1.613	15


Structure and theoretical X-ray powder pattern of Tb2PmH6 (a cell relaxed with GGA-PBE; λ = 1.5418 Å (Cu Kα)).
Intensities are scaled so that the largest is 100.

Atomic structure:
```
Tb2PmH6
1.0
-1.868 1.868 7.928
1.868 -1.868 7.928
1.868 1.868 -7.928
Tb Pm H
2 1 6
Direct
0.168 0.168 0.000 Tb
0.832 0.832 0.000 Tb
0.500 0.500 0.000 Pm
0.088 0.588 0.500 H
0.250 0.750 0.500 H
0.412 0.912 0.500 H
0.588 0.088 0.500 H
0.750 0.250 0.500 H
0.912 0.412 0.500 H
```

Top 8 peaks for 2θ = 10–90°, sorted by position:
d [Å]	I/Imax
3.050	100
2.642	49
1.868	38
1.593	44
1.525	12
1.321	6
1.212	18
1.181	16


Structure and theoretical X-ray powder pattern of PmTcH5 (a cell relaxed with GGA-PBE; λ = 1.5418 Å (Cu Kα)).
Intensities are scaled so that the largest is 100.

Atomic structure:
```
PmTcH5
1.0
-2.709 3.540 1.926
2.709 -3.540 1.926
2.709 3.540 -1.926
Pm Tc H
1 1 5
Direct
0.000 0.000 0.000 Pm
0.469 0.969 0.500 Tc
0.058 0.766 0.291 H
0.475 0.766 0.709 H
0.495 0.310 0.815 H
0.495 0.681 0.185 H
0.984 0.484 0.500 H
```

Top 12 peaks for 2θ = 10–90°, sorted by position:
d [Å]	I/Imax
3.540	72
3.139	100
2.709	35
2.349	89
2.151	35
1.926	12
1.692	17
1.635	15
1.570	12
1.542	24
1.484	21
1.435	19


Structure and theoretical X-ray powder pattern of Pm3Te2H2 (a cell relaxed with GGA-PBE; λ = 1.5418 Å (Cu Kα)).
Intensities are scaled so that the largest is 100.

Atomic structure:
```
Pm3Te2H2
1.0
4.167 0.000 0.000
0.003 4.595 0.000
2.076 2.294 8.542
Pm Te H
3 2 2
Direct
0.000 0.000 0.000 Pm
0.377 0.376 0.249 Pm
0.623 0.624 0.751 Pm
0.178 0.178 0.642 Te
0.822 0.822 0.358 Te
0.500 0.255 0.000 H
0.500 0.745 0.000 H
```

Top 12 peaks for 2θ = 10–90°, sorted by position:
d [Å]	I/Imax
3.087	100
2.847	11
2.742	47
2.642	42
2.502	10
2.297	22
2.093	18
2.083	17
1.734	24
1.659	21
1.543	13
1.438	10